(1)
AlO3: calculated powder diffraction line list (Cu Kα, 1.54184 Å), based on the PBE geometry in the Materials Project.
Peak positions follow from Bragg's law for the DFT cell and can differ from measured ones.

Peak list (10 most intense, 2θ = 10–80°, sorted by position)
two_theta  I (rel.)
18.16  94
18.30  42
20.86  100
26.17  14
26.94  20
28.62  11
34.67  13
36.79  11
50.72  10
53.88  10

Cell and atoms:
Lattice parameters (Å, degrees): 8.576 5.656 12.210 90.00 127.43 90.00
Element x y z (fractional)
Al 0.153 0.054 0.152
Al 0.153 0.446 0.652
Al 0.324 0.038 0.826
Al 0.324 0.462 0.326
Al 0.676 0.538 0.674
Al 0.676 0.962 0.174
Al 0.847 0.554 0.348
Al 0.847 0.946 0.848
O 0.107 0.588 0.499
O 0.107 0.912 0.999
O 0.149 0.726 0.226
O 0.149 0.774 0.726
O 0.179 0.208 0.293
O 0.179 0.292 0.793
O 0.310 0.195 0.693
O 0.310 0.305 0.193
O 0.343 0.706 0.778
O 0.343 0.794 0.278
O 0.425 0.563 0.506
O 0.425 0.937 0.006
O 0.575 0.063 0.994
O 0.575 0.437 0.494
O 0.657 0.206 0.722
O 0.657 0.294 0.222
O 0.690 0.695 0.807
O 0.690 0.805 0.307
O 0.821 0.708 0.207
O 0.821 0.792 0.707
O 0.851 0.226 0.274
O 0.851 0.274 0.774
O 0.893 0.088 0.001
O 0.893 0.412 0.501

(2)
AlO: calculated powder diffraction line list (Cu Kα, 1.54184 Å), based on the PBE geometry in the Materials Project.
Peak positions follow from Bragg's law for the DFT cell and can differ from measured ones.

Peak list (5 most intense, 2θ = 10–80°, sorted by position)
two_theta  I (rel.)
34.71  12
40.29  100
58.30  59
69.66  9
73.25  18

Cell and atoms:
Lattice parameters (Å, degrees): 3.165 3.165 3.165 60.00 60.00 60.00
Element x y z (fractional)
Al 0.000 0.000 0.000
O 0.500 0.500 0.500

(3)
Al3P2O16: calculated powder diffraction line list (Cu Kα, 1.54184 Å), based on the PBE geometry in the Materials Project.
Peak positions follow from Bragg's law for the DFT cell and can differ from measured ones.

Peak list (10 most intense, 2θ = 10–80°, sorted by position)
two_theta  I (rel.)
11.98  92
15.47  61
16.63  56
17.65  58
20.68  57
23.21  38
23.28  100
24.58  32
26.18  96
28.52  62

Cell and atoms:
Lattice parameters (Å, degrees): 7.787 7.891 11.215 98.12 104.57 98.95
Element x y z (fractional)
Al 0.067 0.344 0.293
Al 0.391 0.750 0.727
Al 0.418 0.853 0.282
Al 0.582 0.147 0.718
Al 0.609 0.250 0.273
Al 0.933 0.656 0.707
P 0.326 0.439 0.121
P 0.362 0.178 0.448
P 0.638 0.822 0.552
P 0.674 0.561 0.879
O 0.019 0.675 0.396
O 0.124 0.606 0.345
O 0.152 0.653 0.649
O 0.167 0.726 0.788
O 0.183 0.352 0.181
O 0.185 0.251 0.411
O 0.197 0.825 0.155
O 0.254 0.409 0.980
O 0.256 0.098 0.920
O 0.258 0.084 0.811
O 0.319 0.983 0.386
O 0.380 0.639 0.181
O 0.418 0.204 0.592
O 0.452 0.983 0.776
O 0.488 0.720 0.598
O 0.500 0.365 0.164
O 0.500 0.635 0.836
O 0.512 0.280 0.402
O 0.548 0.017 0.224
O 0.582 0.796 0.408
O 0.620 0.361 0.819
O 0.681 0.017 0.614
O 0.742 0.916 0.189
O 0.744 0.902 0.080
O 0.746 0.591 0.020
O 0.803 0.175 0.845
O 0.815 0.749 0.589
O 0.817 0.648 0.819
O 0.833 0.274 0.212
O 0.848 0.347 0.351
O 0.876 0.394 0.655
O 0.981 0.325 0.604

(4)
Al2PO8: calculated powder diffraction line list (Cu Kα, 1.54184 Å), based on the PBE geometry in the Materials Project.
Peak positions follow from Bragg's law for the DFT cell and can differ from measured ones.

Peak list (10 most intense, 2θ = 10–80°, sorted by position)
two_theta  I (rel.)
15.91  65
18.21  55
20.91  50
21.08  37
22.26  100
23.87  78
24.56  35
27.01  28
29.06  35
36.91  29

Cell and atoms:
Lattice parameters (Å, degrees): 10.031 7.776 7.988 90.00 90.00 90.00
Element x y z (fractional)
Al 0.146 0.153 0.000
Al 0.202 0.534 0.128
Al 0.298 0.034 0.628
Al 0.354 0.653 0.500
Al 0.646 0.347 0.000
Al 0.702 0.966 0.128
Al 0.798 0.466 0.628
Al 0.854 0.847 0.500
P 0.017 0.187 0.645
P 0.483 0.687 0.145
P 0.517 0.313 0.645
P 0.983 0.813 0.145
O 0.022 0.209 0.838
O 0.051 0.985 0.103
O 0.061 0.661 0.072
O 0.099 0.327 0.163
O 0.160 0.181 0.571
O 0.208 0.634 0.651
O 0.240 0.036 0.840
O 0.245 0.363 0.980
O 0.255 0.863 0.480
O 0.260 0.536 0.340
O 0.292 0.134 0.151
O 0.340 0.681 0.071
O 0.401 0.827 0.663
O 0.439 0.161 0.572
O 0.449 0.485 0.603
O 0.478 0.709 0.338
O 0.522 0.291 0.838
O 0.551 0.515 0.103
O 0.561 0.839 0.072
O 0.599 0.173 0.163
O 0.660 0.319 0.571
O 0.708 0.866 0.651
O 0.740 0.464 0.840
O 0.745 0.137 0.980
O 0.755 0.637 0.480
O 0.760 0.964 0.340
O 0.792 0.366 0.151
O 0.840 0.819 0.071
O 0.901 0.673 0.663
O 0.939 0.339 0.572
O 0.949 0.015 0.603
O 0.978 0.791 0.338

(5)
AlP2O11: calculated powder diffraction line list (Cu Kα, 1.54184 Å), based on the PBE geometry in the Materials Project.
Peak positions follow from Bragg's law for the DFT cell and can differ from measured ones.

Peak list (10 most intense, 2θ = 10–80°, sorted by position)
two_theta  I (rel.)
12.38  11
15.48  7
19.39  56
23.07  6
25.29  100
30.32  17
31.76  9
42.78  9
52.93  7
55.17  8

Cell and atoms:
Lattice parameters (Å, degrees): 7.637 7.637 7.637 73.64 73.64 73.64
Element x y z (fractional)
Al 0.000 0.000 0.000
Al 0.264 0.264 0.264
P 0.112 0.879 0.405
P 0.405 0.112 0.879
P 0.629 0.629 0.629
P 0.879 0.405 0.112
O 0.023 0.371 0.228
O 0.040 0.892 0.234
O 0.069 0.773 0.907
O 0.218 0.313 0.510
O 0.220 0.676 0.476
O 0.228 0.023 0.371
O 0.234 0.040 0.892
O 0.313 0.510 0.218
O 0.371 0.228 0.023
O 0.476 0.220 0.676
O 0.495 0.654 0.817
O 0.510 0.218 0.313
O 0.535 0.535 0.535
O 0.579 0.943 0.890
O 0.654 0.817 0.495
O 0.676 0.476 0.220
O 0.773 0.907 0.069
O 0.817 0.495 0.654
O 0.890 0.579 0.943
O 0.892 0.234 0.040
O 0.907 0.069 0.773
O 0.943 0.890 0.579

(6)
AlPO5: calculated powder diffraction line list (Cu Kα, 1.54184 Å), based on the PBE geometry in the Materials Project.
Peak positions follow from Bragg's law for the DFT cell and can differ from measured ones.

Peak list (10 most intense, 2θ = 10–80°, sorted by position)
two_theta  I (rel.)
17.97  35
19.19  8
22.30  100
23.70  50
26.16  14
30.71  23
32.03  15
35.51  17
35.66  7
45.51  7

Cell and atoms:
Lattice parameters (Å, degrees): 5.065 5.065 15.169 96.16 96.16 90.01
Element x y z (fractional)
Al 0.000 0.000 0.000
Al 0.000 0.000 0.500
Al 0.378 0.622 0.750
Al 0.622 0.378 0.250
P 0.162 0.453 0.374
P 0.453 0.162 0.874
P 0.547 0.838 0.126
P 0.838 0.547 0.626
O 0.011 0.285 0.091
O 0.047 0.556 0.708
O 0.125 0.692 0.441
O 0.146 0.191 0.418
O 0.191 0.146 0.918
O 0.285 0.011 0.591
O 0.308 0.875 0.059
O 0.439 0.465 0.341
O 0.444 0.953 0.792
O 0.465 0.439 0.841
O 0.535 0.561 0.159
O 0.556 0.047 0.208
O 0.561 0.535 0.659
O 0.692 0.125 0.941
O 0.715 0.989 0.409
O 0.809 0.854 0.082
O 0.854 0.809 0.582
O 0.875 0.308 0.559
O 0.953 0.444 0.292
O 0.989 0.715 0.909